For NdGdFe2Si2C, a cell relaxed with PBE gives the calculated powder XRD pattern in this record (copper Kα).
Peak positions follow from Bragg's law for the DFT cell and can differ from measured ones.

Atomic structure:
Cell: 10.7125 3.9765 6.9002 Å, 90.00 129.62 90.00°
Fractional coordinates of all 14 atoms:
1 Nd 0.0000 0.0000 0.0000
2 Nd 0.5000 0.5000 0.0000
3 Gd 0.1201 0.0000 0.5928
4 Gd 0.6201 0.5000 0.5928
5 Fe 0.2613 0.5000 0.3919
6 Fe 0.3640 0.0000 0.2096
7 Fe 0.7613 0.0000 0.3919
8 Fe 0.8640 0.5000 0.2096
9 Si 0.2291 0.5000 0.0261
10 Si 0.3942 0.0000 0.5706
11 Si 0.7291 0.0000 0.0261
12 Si 0.8942 0.5000 0.5706
13 C 0.0642 0.5000 0.3067
14 C 0.5642 0.0000 0.3067

Principal peaks in the range 2θ = 10–80°, sorted by position:
(1 1 0), 3.582 Å, I 62.1
(2 0 -2), 3.450 Å, I 33.8
(0 0 2), 2.653 Å, I 54.1
(3 1 -1), 2.638 Å, I 95.0
(2 0 1), 2.562 Å, I 32.1
(4 0 -1), 2.548 Å, I 31.0
(1 1 -2), 2.489 Å, I 100.0
(3 1 -2), 2.480 Å, I 28.6
(3 1 0), 2.262 Å, I 33.5
(4 0 -3), 2.211 Å, I 24.7
(0 2 0), 1.988 Å, I 36.0
(3 1 1), 1.773 Å, I 22.1

***

For Nd2Fe2SiGeC, a cell relaxed with PBE gives the calculated powder XRD pattern in this record (copper Kα).
Peak positions follow from Bragg's law for the DFT cell and can differ from measured ones.

Atomic structure:
Cell: 10.8644 4.0301 7.0109 Å, 90.00 128.80 90.00°
Fractional coordinates of all 14 atoms:
1 Nd 0.0000 0.0000 0.0000
2 Nd 0.1166 0.0000 0.5918
3 Nd 0.5000 0.5000 0.0000
4 Nd 0.6166 0.5000 0.5918
5 Fe 0.2496 0.5000 0.3763
6 Fe 0.3607 0.0000 0.2029
7 Fe 0.7496 0.0000 0.3763
8 Fe 0.8607 0.5000 0.2029
9 Si 0.2349 0.5000 0.0337
10 Si 0.7349 0.0000 0.0337
11 Ge 0.3887 0.0000 0.5696
12 Ge 0.8887 0.5000 0.5696
13 C 0.0561 0.5000 0.2921
14 C 0.5561 0.0000 0.2921

Principal peaks in the range 2θ = 10–80°, sorted by position:
(1 1 0), 3.639 Å, I 50.1
(0 0 2), 2.732 Å, I 31.2
(1 1 1), 2.711 Å, I 49.6
(3 1 -1), 2.679 Å, I 68.1
(4 0 -1), 2.597 Å, I 39.4
(1 1 -2), 2.537 Å, I 100.0
(3 1 -2), 2.511 Å, I 43.0
(3 1 0), 2.312 Å, I 53.7
(4 0 -3), 2.238 Å, I 32.0
(0 2 0), 2.015 Å, I 44.9
(0 0 3), 1.820 Å, I 25.2
(7 1 -3), 1.447 Å, I 27.0

***

For NdYFe2Ge2C, a cell relaxed with PBE gives the calculated powder XRD pattern in this record (copper Kα).
Peak positions follow from Bragg's law for the DFT cell and can differ from measured ones.

Atomic structure:
Cell: 10.8147 4.0190 6.9432 Å, 90.00 128.88 90.00°
Fractional coordinates of all 14 atoms:
1 Nd 0.0000 0.0000 0.0000
2 Nd 0.5000 0.5000 0.0000
3 Y 0.3844 0.5000 0.4178
4 Y 0.8844 0.0000 0.4178
5 Fe 0.1338 0.5000 0.7908
6 Fe 0.2452 0.0000 0.6161
7 Fe 0.6338 0.0000 0.7908
8 Fe 0.7452 0.5000 0.6161
9 Ge 0.1075 0.5000 0.4251
10 Ge 0.2742 0.0000 0.9882
11 Ge 0.6075 0.0000 0.4251
12 Ge 0.7742 0.5000 0.9882
13 C 0.4378 0.0000 0.6971
14 C 0.9378 0.5000 0.6971

Principal peaks in the range 2θ = 10–80°, sorted by position:
(0 0 2), 2.702 Å, I 41.2
(1 1 1), 2.693 Å, I 60.9
(3 1 -1), 2.669 Å, I 65.8
(4 0 -1), 2.585 Å, I 50.3
(1 1 -2), 2.518 Å, I 100.0
(3 1 -2), 2.498 Å, I 52.4
(3 1 0), 2.301 Å, I 83.1
(4 0 -3), 2.221 Å, I 49.4
(0 2 0), 2.009 Å, I 60.3
(4 2 -3), 1.490 Å, I 27.0
(1 1 3), 1.463 Å, I 22.6
(7 1 -3), 1.440 Å, I 34.0